[1]
The following is a calculated PXRD pattern of NaMgPd. It was derived from a GGA-PBE-relaxed structure, using CuKα.
Intensities are scaled so that the largest is 100.

```
NaMgPd
1.0
2.4213 -2.4215 0.0000
2.4213 2.4215 0.0000
-0.0203 0.0000 11.1228
Na Mg Pd
2 2 2
direct
0.2481 0.2481 0.1350
0.7519 0.7519 0.8650
0.2495 0.2495 0.4164
0.7505 0.7505 0.5836
0.2511 0.2511 0.6845
0.7489 0.7489 0.3155
```

The 10 most intense peaks (2θ = 10–90°), in order of falling intensity:
2θ/deg  intensity
41.85  100
37.13  95
30.66  85
27.25  80
15.94  64
35.69  48
24.00  40
53.52  32
70.14  31
44.70  30

=====

[2]
The following is a calculated PXRD pattern of NaMg2Pd9. It was derived from a GGA-PBE-relaxed structure, using CuKα.
Intensities are scaled so that the largest is 100.

```
NaMg2Pd9
1.0
3.9915 0.0000 0.0000
0.0000 3.9915 0.0000
0.0000 0.0000 11.9279
Na Mg Pd
1 2 9
direct
0.0000 0.0000 0.0000
0.0000 0.0000 0.3344
0.0000 0.0000 0.6656
0.0000 0.5000 0.1718
0.0000 0.5000 0.5000
0.0000 0.5000 0.8282
0.5000 0.0000 0.1718
0.5000 0.0000 0.5000
0.5000 0.0000 0.8282
0.5000 0.5000 0.0000
0.5000 0.5000 0.3353
0.5000 0.5000 0.6647
```

The 10 most intense peaks (2θ = 10–90°), in order of falling intensity:
2θ/deg  intensity
39.14  100
45.45  33
79.70  24
66.37  20
22.30  18
45.63  16
31.74  15
79.97  11
84.12  10
66.22  10

=====

[3]
The following is a calculated PXRD pattern of NaMg6Pt5. It was derived from a GGA-PBE-relaxed structure, using CuKα.
Intensities are scaled so that the largest is 100.

```
NaMg6Pt5
1.0
4.6926 0.0000 0.0000
0.0000 6.0469 0.0000
-1.6419 0.0000 7.0655
Na Mg Pt
1 6 5
direct
0.0000 0.0000 0.0000
0.1953 0.2563 0.3544
0.1953 0.7437 0.3544
0.5000 0.2619 0.0000
0.5000 0.7381 0.0000
0.8047 0.2563 0.6456
0.8047 0.7437 0.6456
0.0000 0.5000 0.0000
0.3116 0.5000 0.6808
0.3253 0.0000 0.6826
0.6747 0.0000 0.3174
0.6884 0.5000 0.3192
```

The 10 most intense peaks (2θ = 10–90°), in order of falling intensity:
2θ/deg  intensity
39.41  100
41.31  81
25.49  80
29.54  59
28.21  58
38.56  50
38.21  50
49.03  27
49.31  26
52.37  22

=====

[4]
The following is a calculated PXRD pattern of NaMgPt. It was derived from a GGA-PBE-relaxed structure, using CuKα.
Intensities are scaled so that the largest is 100.

```
NaMgPt
1.0
0.0000 4.3408 5.1196
2.8674 0.0000 5.1196
2.8674 4.3408 0.0000
Na Mg Pt
2 2 2
direct
0.1779 0.8221 0.1779
0.8221 0.1779 0.8221
0.3115 0.3115 0.6885
0.6885 0.6885 0.3115
0.2500 0.2500 0.2500
0.7500 0.7500 0.7500
```

The 10 most intense peaks (2θ = 10–90°), in order of falling intensity:
2θ/deg  intensity
17.32  100
41.66  80
20.46  64
26.93  50
35.89  40
37.59  35
40.93  29
35.06  24
45.39  24
52.34  21

=====

[5]
The following is a calculated PXRD pattern of NaMgPt. It was derived from a GGA-PBE-relaxed structure, using CuKα.
Intensities are scaled so that the largest is 100.

```
NaMgPt
1.0
2.9746 0.0000 0.0000
0.0000 4.3865 0.0000
0.0000 0.0000 5.2512
Na Mg Pt
1 1 1
direct
0.0000 0.0000 0.0000
0.0000 0.5000 0.5000
0.5000 0.0000 0.5000
```

The 10 most intense peaks (2θ = 10–90°), in order of falling intensity:
2θ/deg  intensity
16.88  100
40.47  71
20.24  64
26.48  36
34.66  34
36.50  30
34.15  28
50.84  24
40.02  23
54.87  18

=====

[6]
The following is a calculated PXRD pattern of Na3PuMg2S6. It was derived from a GGA-PBE-relaxed structure, using CuKα.
Intensities are scaled so that the largest is 100.

```
Na3PuMg2S6
1.0
3.3034 -5.7222 0.0000
3.3034 5.7222 0.0000
-2.2009 0.0000 6.6513
Na Pu Mg S
3 1 2 6
direct
0.0000 0.0000 0.0000
0.3329 0.6671 0.0000
0.6671 0.3329 0.0000
0.5000 0.5000 0.5000
0.1665 0.8335 0.5000
0.8335 0.1665 0.5000
0.0955 0.4273 0.2813
0.2412 0.2412 0.7178
0.4273 0.0955 0.2813
0.5727 0.9045 0.7187
0.7588 0.7588 0.2822
0.9045 0.5727 0.7187
```

The 10 most intense peaks (2θ = 10–90°), in order of falling intensity:
2θ/deg  intensity
32.51  100
13.31  53
16.11  45
17.87  36
45.57  32
47.68  31
20.47  26
15.49  25
58.90  19
23.66  19

=====

[7]
The following is a calculated PXRD pattern of Na2PuMgSe4. It was derived from a GGA-PBE-relaxed structure, using CuKα.
Intensities are scaled so that the largest is 100.

```
Na2PuMgSe4
1.0
6.9653 0.0000 0.0000
0.0000 4.1184 0.0000
-2.3794 0.0000 6.9551
Na Pu Mg Se
2 1 1 4
direct
0.0000 0.0000 0.0000
0.5000 0.5000 0.0000
0.0000 0.5000 0.5000
0.5000 0.0000 0.5000
0.2438 0.0000 0.7275
0.2636 0.5000 0.2815
0.7364 0.5000 0.7185
0.7562 0.0000 0.2725
```

The 10 most intense peaks (2θ = 10–90°), in order of falling intensity:
2θ/deg  intensity
30.55  100
12.73  69
30.75  49
44.82  39
42.97  36
13.44  34
15.24  28
39.60  22
25.13  20
54.61  19

=====

[8]
The following is a calculated PXRD pattern of Na14Mg2S9. It was derived from a GGA-PBE-relaxed structure, using CuKα.
Intensities are scaled so that the largest is 100.

```
Na14Mg2S9
1.0
7.9142 0.0000 0.0000
-3.9571 6.8539 0.0000
0.0000 0.0000 11.1358
Na Mg S
14 2 9
direct
0.0000 0.0000 0.2475
0.0000 0.0000 0.7525
0.0315 0.6758 0.4086
0.0595 0.3739 0.0916
0.3144 0.9405 0.0916
0.3242 0.3557 0.4086
0.3557 0.0315 0.5914
0.3739 0.3144 0.9084
0.6261 0.6856 0.0916
0.6443 0.9685 0.4086
0.6758 0.6443 0.5914
0.6856 0.0595 0.9084
0.9405 0.6261 0.9084
0.9685 0.3242 0.5914
0.3333 0.6667 0.7612
0.6667 0.3333 0.2388
0.0000 0.0000 0.5000
0.0514 0.3571 0.8365
0.3057 0.9486 0.8365
0.3333 0.6667 0.5365
0.3571 0.3057 0.1635
0.6429 0.6943 0.8365
0.6667 0.3333 0.4635
0.6943 0.0514 0.1635
0.9486 0.6429 0.1635
```

The 10 most intense peaks (2θ = 10–90°), in order of falling intensity:
2θ/deg  intensity
39.58  100
39.44  91
23.86  87
23.97  33
35.59  31
46.67  27
15.18  27
57.11  22
71.59  22
71.90  13

=====

[9]
The following is a calculated PXRD pattern of NaMgSbS3. It was derived from a GGA-PBE-relaxed structure, using CuKα.
Intensities are scaled so that the largest is 100.

```
NaMgSbS3
1.0
8.0775 0.0000 0.0000
0.0000 3.9552 0.0000
-1.3049 0.0000 10.5702
Na Mg Sb S
2 2 2 6
direct
0.2491 0.2500 0.2471
0.7509 0.7500 0.7529
0.1117 0.7500 0.5913
0.8883 0.2500 0.4087
0.3587 0.2500 0.8634
0.6413 0.7500 0.1366
0.0499 0.7500 0.3568
0.3408 0.7500 0.0650
0.3982 0.7500 0.6995
0.6018 0.2500 0.3005
0.6592 0.2500 0.9350
0.9501 0.2500 0.6432
```

The 10 most intense peaks (2θ = 10–90°), in order of falling intensity:
2θ/deg  intensity
13.02  100
29.56  36
28.18  33
34.91  30
11.04  30
24.70  26
40.78  18
34.08  14
35.66  13
45.89  13

=====

[10]
The following is a calculated PXRD pattern of NaMg14Sb. It was derived from a GGA-PBE-relaxed structure, using CuKα.
Intensities are scaled so that the largest is 100.

```
NaMg14Sb
1.0
10.4326 0.0000 0.0000
0.0000 3.1760 5.6603
0.0000 -3.1760 5.6603
Na Mg Sb
1 14 1
direct
0.0000 0.0000 0.0000
0.0000 0.0020 0.4946
0.0000 0.4946 0.0020
0.2460 0.6681 0.6681
0.2521 0.1644 0.6640
0.2521 0.6640 0.1644
0.2534 0.1679 0.1679
0.5000 0.0016 0.5049
0.5000 0.0026 0.0026
0.5000 0.5042 0.5042
0.5000 0.5049 0.0016
0.7466 0.1679 0.1679
0.7479 0.1644 0.6640
0.7479 0.6640 0.1644
0.7540 0.6681 0.6681
0.0000 0.4946 0.4946
```

The 10 most intense peaks (2θ = 10–90°), in order of falling intensity:
2θ/deg  intensity
36.74  100
36.11  51
34.38  39
18.13  29
32.32  25
63.13  20
68.07  20
16.00  19
56.75  17
47.91  16

=====

[11]
The following is a calculated PXRD pattern of NaMg6Sb. It was derived from a GGA-PBE-relaxed structure, using CuKα.
Intensities are scaled so that the largest is 100.

```
NaMg6Sb
1.0
5.1097 0.0000 0.0000
0.0000 3.2931 5.6838
0.0000 -3.2931 5.6838
Na Mg Sb
1 6 1
direct
0.0000 0.0000 0.0000
0.0000 0.4923 0.4923
0.0000 0.5057 0.9941
0.0000 0.9941 0.5057
0.5000 0.1630 0.6557
0.5000 0.6557 0.1630
0.5000 0.6592 0.6592
0.5000 0.1675 0.1675
```

The 10 most intense peaks (2θ = 10–90°), in order of falling intensity:
2θ/deg  intensity
36.12  100
15.56  50
23.39  41
31.42  31
35.13  23
47.84  21
63.67  18
32.38  18
27.13  14
17.36  14

=====

[12]
The following is a calculated PXRD pattern of Na3MgSb3Se8. It was derived from a GGA-PBE-relaxed structure, using CuKα.
Intensities are scaled so that the largest is 100.

```
Na3MgSb3Se8
1.0
6.9332 -4.0032 0.0000
6.9332 4.0032 0.0000
-4.6226 0.0000 7.2977
Na Mg Sb Se
3 1 3 8
direct
0.0000 0.0000 0.0000
0.0000 0.5000 0.0000
0.5000 0.0000 0.0000
0.0000 0.0000 0.5000
0.0000 0.5000 0.5000
0.5000 0.0000 0.5000
0.5000 0.5000 0.5000
0.2330 0.2330 0.7163
0.2326 0.7507 0.7159
0.2493 0.7674 0.2841
0.2562 0.2562 0.2706
0.7438 0.7438 0.7294
0.7507 0.2326 0.7159
0.7674 0.2493 0.2841
0.7670 0.7670 0.2837
```

The 10 most intense peaks (2θ = 10–90°), in order of falling intensity:
2θ/deg  intensity
30.52  100
12.13  49
42.07  36
45.31  34
55.62  17
38.78  16
74.45  14
69.75  13
53.05  11
63.53  10

=====

[13]
The following is a calculated PXRD pattern of NaMg14Sc. It was derived from a GGA-PBE-relaxed structure, using CuKα.
Intensities are scaled so that the largest is 100.

```
NaMg14Sc
1.0
6.5388 0.0000 0.0000
0.0000 6.5388 0.0000
0.0000 0.0000 8.8283
Na Mg Sc
1 14 1
direct
0.0000 0.0000 0.0000
0.0000 0.0000 0.5000
0.0000 0.5000 0.0000
0.0000 0.5000 0.5000
0.2539 0.2539 0.2553
0.2539 0.2539 0.7447
0.2539 0.7461 0.2553
0.2539 0.7461 0.7447
0.5000 0.0000 0.0000
0.5000 0.0000 0.5000
0.5000 0.5000 0.5000
0.7461 0.2539 0.2553
0.7461 0.2539 0.7447
0.7461 0.7461 0.2553
0.7461 0.7461 0.7447
0.5000 0.5000 0.0000
```

The 10 most intense peaks (2θ = 10–90°), in order of falling intensity:
2θ/deg  intensity
34.13  100
38.96  34
67.48  25
57.75  20
40.89  15
56.28  11
70.14  11
71.87  10
83.66  3
13.54  2